Structure and computed PXRD pattern of Na5Ni2AsC4O16 (a crystal structure in the Materials Project, relaxed with PBE+U; CuKα).

Structure:
Unit cell a=9.959 b=9.952 c=9.935 alpha=60.10 beta=60.03 gamma=59.86
Fractional coordinates of all 56 atoms:
Na (0.000, 0.000, 0.000)
Na (0.250, 0.250, 0.250)
Na (0.254, 0.672, 0.258)
Na (0.254, 0.673, 0.816)
Na (0.434, 0.992, 0.578)
Na (0.434, 0.993, 0.996)
Na (0.672, 0.254, 0.816)
Na (0.673, 0.254, 0.257)
Na (0.992, 0.434, 0.996)
Na (0.993, 0.434, 0.577)
Ni (0.342, 0.837, 0.410)
Ni (0.837, 0.342, 0.411)
Ni (0.839, 0.840, 0.413)
Ni (0.840, 0.839, 0.908)
As (0.216, 0.216, 0.784)
As (0.466, 0.466, 0.034)
C (0.055, 0.055, 0.265)
C (0.055, 0.055, 0.625)
C (0.055, 0.698, 0.624)
C (0.625, 0.985, 0.195)
C (0.626, 0.627, 0.195)
C (0.627, 0.626, 0.552)
C (0.698, 0.055, 0.623)
C (0.985, 0.625, 0.195)
O (0.004, 0.284, 0.856)
O (0.029, 0.939, 0.767)
O (0.030, 0.197, 0.262)
O (0.031, 0.692, 0.510)
O (0.192, 0.704, 0.599)
O (0.197, 0.030, 0.512)
O (0.197, 0.940, 0.261)
O (0.280, 0.281, 0.867)
O (0.281, 0.280, 0.572)
O (0.284, 0.004, 0.856)
O (0.383, 0.678, 0.970)
O (0.394, 0.394, 0.246)
O (0.394, 0.394, 0.966)
O (0.483, 0.650, 0.308)
O (0.483, 0.986, 0.221)
O (0.484, 0.740, 0.558)
O (0.649, 0.989, 0.310)
O (0.650, 0.483, 0.558)
O (0.651, 0.744, 0.058)
O (0.678, 0.383, 0.969)
O (0.692, 0.031, 0.766)
O (0.692, 0.942, 0.600)
O (0.704, 0.192, 0.506)
O (0.738, 0.988, 0.053)
O (0.740, 0.484, 0.219)
O (0.744, 0.651, 0.546)
O (0.939, 0.029, 0.264)
O (0.940, 0.197, 0.601)
O (0.942, 0.692, 0.767)
O (0.986, 0.483, 0.311)
O (0.988, 0.738, 0.220)
O (0.989, 0.649, 0.053)

The 12 most intense peaks (5 to 70 degrees two-theta), by angle:
Position (°2θ), Rel. int.
10.89, 121
17.82, 326
20.94, 1000
21.88, 125
33.01, 264
33.12, 514
36.11, 600
42.67, 114
49.81, 110
56.61, 189
56.71, 139
64.99, 94

Structure and computed PXRD pattern of Na2VAsCO7 (a crystal structure in the Materials Project, relaxed with PBE+U; CuKα).

Structure:
Unit cell a=5.368 b=6.761 c=9.205 alpha=90.00 beta=91.78 gamma=90.00
Fractional coordinates of all 24 atoms:
Na (0.238, 0.000, 0.283)
Na (0.238, 0.500, 0.283)
Na (0.762, 0.000, 0.717)
Na (0.762, 0.500, 0.717)
V (0.207, 0.250, 0.844)
V (0.793, 0.750, 0.156)
As (0.291, 0.750, 0.923)
As (0.709, 0.250, 0.077)
C (0.274, 0.250, 0.577)
C (0.726, 0.750, 0.423)
O (0.052, 0.250, 0.634)
O (0.149, 0.750, 0.089)
O (0.202, 0.547, 0.822)
O (0.202, 0.953, 0.822)
O (0.312, 0.250, 0.443)
O (0.389, 0.250, 0.050)
O (0.458, 0.250, 0.678)
O (0.542, 0.750, 0.322)
O (0.611, 0.750, 0.950)
O (0.688, 0.750, 0.557)
O (0.798, 0.047, 0.178)
O (0.798, 0.453, 0.178)
O (0.851, 0.250, 0.911)
O (0.948, 0.750, 0.366)

The 12 most intense peaks (5 to 70 degrees two-theta), by angle:
Position (°2θ), Rel. int.
9.61, 1000
23.47, 447
25.10, 354
25.90, 123
26.36, 290
28.12, 139
29.13, 112
32.63, 173
32.90, 292
33.40, 232
36.70, 133
54.27, 158

Structure and computed PXRD pattern of NaVAsCO7 (a crystal structure in the Materials Project, relaxed with PBE+U; CuKα).

Structure:
Unit cell a=5.514 b=6.506 c=9.454 alpha=90.00 beta=93.25 gamma=90.00
Fractional coordinates of all 22 atoms:
Na (0.224, 0.000, 0.297)
Na (0.776, 0.500, 0.703)
V (0.211, 0.775, 0.834)
V (0.789, 0.275, 0.166)
As (0.280, 0.268, 0.944)
As (0.720, 0.768, 0.056)
C (0.285, 0.749, 0.585)
C (0.715, 0.249, 0.415)
O (0.065, 0.751, 0.640)
O (0.125, 0.253, 0.095)
O (0.195, 0.466, 0.834)
O (0.209, 0.057, 0.837)
O (0.323, 0.756, 0.459)
O (0.411, 0.762, 0.018)
O (0.456, 0.742, 0.692)
O (0.544, 0.242, 0.308)
O (0.589, 0.262, 0.982)
O (0.677, 0.256, 0.541)
O (0.791, 0.557, 0.163)
O (0.805, 0.966, 0.166)
O (0.875, 0.753, 0.905)
O (0.935, 0.251, 0.360)

The 12 most intense peaks (5 to 70 degrees two-theta), by angle:
Position (°2θ), Rel. int.
9.37, 1000
16.55, 188
18.19, 168
19.12, 134
22.79, 127
23.54, 289
24.13, 257
27.42, 268
29.05, 225
32.53, 137
33.43, 149
56.60, 118

Structure and computed PXRD pattern of CaCoAsHO5 (a crystal structure in the Materials Project, relaxed with PBE+U; CuKα).

Structure:
Unit cell a=6.004 b=7.590 c=9.084 alpha=90.00 beta=90.00 gamma=90.00
Fractional coordinates of all 36 atoms:
Ca (0.023, 0.128, 0.327)
Ca (0.477, 0.872, 0.827)
Ca (0.523, 0.372, 0.673)
Ca (0.977, 0.628, 0.173)
Co (0.244, 0.259, 0.994)
Co (0.256, 0.741, 0.494)
Co (0.744, 0.241, 0.006)
Co (0.756, 0.759, 0.506)
As (0.017, 0.623, 0.823)
As (0.483, 0.377, 0.323)
As (0.517, 0.877, 0.177)
As (0.983, 0.123, 0.677)
H (0.017, 0.989, 0.021)
H (0.483, 0.011, 0.521)
H (0.517, 0.511, 0.979)
H (0.983, 0.489, 0.479)
O (0.005, 0.104, 0.072)
O (0.009, 0.946, 0.556)
O (0.090, 0.792, 0.940)
O (0.233, 0.150, 0.770)
O (0.246, 0.607, 0.707)
O (0.254, 0.393, 0.207)
O (0.267, 0.850, 0.270)
O (0.410, 0.208, 0.440)
O (0.491, 0.054, 0.056)
O (0.495, 0.896, 0.572)
O (0.505, 0.396, 0.928)
O (0.509, 0.554, 0.444)
O (0.590, 0.708, 0.060)
O (0.733, 0.350, 0.230)
O (0.746, 0.893, 0.293)
O (0.754, 0.107, 0.793)
O (0.767, 0.650, 0.730)
O (0.910, 0.292, 0.560)
O (0.991, 0.446, 0.944)
O (0.995, 0.604, 0.428)

The 12 most intense peaks (5 to 70 degrees two-theta), by angle:
Position (°2θ), Rel. int.
15.21, 237
17.71, 287
21.25, 360
25.44, 219
27.81, 1000
31.82, 835
33.58, 793
34.22, 484
35.24, 476
52.25, 273
56.44, 580
60.83, 275

Structure and computed PXRD pattern of Ca4MgCoAs4O20 (a crystal structure in the Materials Project, relaxed with PBE+U; CuKα).

Structure:
Unit cell a=5.543 b=6.164 c=12.565 alpha=87.36 beta=87.65 gamma=70.44
Fractional coordinates of all 30 atoms:
Ca (0.238, 0.438, 0.374)
Ca (0.247, 0.565, 0.874)
Ca (0.753, 0.435, 0.126)
Ca (0.762, 0.562, 0.626)
Mg (0.500, 0.000, 0.000)
Co (0.000, 0.000, 0.500)
As (0.063, 0.781, 0.118)
As (0.444, 0.207, 0.626)
As (0.556, 0.793, 0.374)
As (0.937, 0.219, 0.882)
O (0.014, 0.143, 0.382)
O (0.042, 0.952, 0.827)
O (0.064, 0.566, 0.209)
O (0.142, 0.246, 0.977)
O (0.160, 0.278, 0.559)
O (0.336, 0.762, 0.474)
O (0.358, 0.730, 0.053)
O (0.449, 0.411, 0.711)
O (0.465, 0.845, 0.854)
O (0.473, 0.069, 0.322)
O (0.527, 0.931, 0.678)
O (0.535, 0.155, 0.146)
O (0.551, 0.589, 0.289)
O (0.642, 0.270, 0.947)
O (0.664, 0.238, 0.526)
O (0.840, 0.722, 0.441)
O (0.858, 0.754, 0.023)
O (0.936, 0.434, 0.791)
O (0.958, 0.048, 0.173)
O (0.986, 0.857, 0.618)

The 12 most intense peaks (5 to 70 degrees two-theta), by angle:
Position (°2θ), Rel. int.
17.05, 421
22.88, 226
26.95, 328
27.68, 522
28.45, 361
29.19, 204
30.14, 1000
30.31, 200
32.45, 285
32.58, 356
33.80, 211
51.37, 226

Structure and computed PXRD pattern of Ca6Mg2CoAs6O30 (a crystal structure in the Materials Project, relaxed with PBE+U; CuKα).

Structure:
Unit cell a=6.316 b=8.774 c=11.424 alpha=89.54 beta=89.33 gamma=88.08
Fractional coordinates of all 45 atoms:
Ca (0.038, 0.401, 0.197)
Ca (0.297, 0.257, 0.475)
Ca (0.342, 0.102, 0.880)
Ca (0.658, 0.898, 0.120)
Ca (0.703, 0.743, 0.525)
Ca (0.962, 0.599, 0.803)
Mg (0.178, 0.834, 0.335)
Mg (0.822, 0.166, 0.665)
Co (0.500, 0.500, 0.000)
As (0.152, 0.775, 0.050)
As (0.200, 0.899, 0.619)
As (0.467, 0.446, 0.722)
As (0.533, 0.554, 0.278)
As (0.800, 0.101, 0.381)
As (0.848, 0.225, 0.950)
O (0.001, 0.223, 0.350)
O (0.014, 0.825, 0.177)
O (0.027, 0.624, 0.315)
O (0.029, 0.216, 0.059)
O (0.107, 0.083, 0.594)
O (0.241, 0.584, 0.073)
O (0.282, 0.460, 0.612)
O (0.328, 0.042, 0.349)
O (0.333, 0.436, 0.318)
O (0.337, 0.830, 0.497)
O (0.339, 0.513, 0.850)
O (0.339, 0.906, 0.025)
O (0.366, 0.901, 0.739)
O (0.406, 0.324, 0.022)
O (0.458, 0.743, 0.260)
O (0.542, 0.257, 0.740)
O (0.594, 0.676, 0.978)
O (0.634, 0.099, 0.261)
O (0.661, 0.094, 0.975)
O (0.661, 0.487, 0.150)
O (0.663, 0.170, 0.503)
O (0.667, 0.564, 0.682)
O (0.672, 0.958, 0.651)
O (0.718, 0.540, 0.388)
O (0.759, 0.416, 0.927)
O (0.893, 0.917, 0.406)
O (0.971, 0.784, 0.941)
O (0.973, 0.376, 0.685)
O (0.986, 0.175, 0.823)
O (0.999, 0.777, 0.650)

The 12 most intense peaks (5 to 70 degrees two-theta), by angle:
Position (°2θ), Rel. int.
12.77, 587
17.03, 717
18.47, 751
25.12, 833
25.66, 1000
25.71, 959
28.86, 779
30.42, 661
32.25, 559
33.06, 447
34.57, 788
48.02, 450

Structure and computed PXRD pattern of Ca2CoAs2O10 (a crystal structure in the Materials Project, relaxed with PBE+U; CuKα).

Structure:
Unit cell a=5.115 b=6.422 c=7.167 alpha=104.42 beta=97.47 gamma=111.19
Fractional coordinates of all 15 atoms:
Ca (0.143, 0.266, 0.233)
Ca (0.857, 0.734, 0.767)
Co (0.500, 0.000, 0.500)
As (0.170, 0.314, 0.735)
As (0.830, 0.686, 0.265)
O (0.109, 0.819, 0.489)
O (0.136, 0.147, 0.890)
O (0.191, 0.586, 0.843)
O (0.408, 0.030, 0.276)
O (0.466, 0.337, 0.633)
O (0.534, 0.663, 0.367)
O (0.592, 0.970, 0.724)
O (0.809, 0.414, 0.157)
O (0.864, 0.853, 0.110)
O (0.891, 0.181, 0.511)

The 12 most intense peaks (5 to 70 degrees two-theta), by angle:
Position (°2θ), Rel. int.
13.15, 349
16.91, 532
19.16, 252
23.49, 293
25.89, 317
26.10, 353
26.48, 293
29.46, 1000
32.60, 358
33.17, 174
35.40, 329
48.11, 280

Structure and computed PXRD pattern of CaCoAs2O7 (a crystal structure in the Materials Project, relaxed with PBE+U; CuKα).

Structure:
Unit cell a=7.465 b=9.113 c=9.467 alpha=90.00 beta=110.63 gamma=90.00
Fractional coordinates of all 44 atoms:
Ca (0.243, 0.067, 0.064)
Ca (0.243, 0.433, 0.564)
Ca (0.757, 0.567, 0.436)
Ca (0.757, 0.933, 0.936)
Co (0.305, 0.053, 0.695)
Co (0.305, 0.447, 0.195)
Co (0.695, 0.553, 0.805)
Co (0.695, 0.947, 0.305)
As (0.080, 0.739, 0.766)
As (0.080, 0.761, 0.266)
As (0.485, 0.703, 0.046)
As (0.485, 0.797, 0.546)
As (0.515, 0.203, 0.454)
As (0.515, 0.297, 0.954)
As (0.920, 0.239, 0.734)
As (0.920, 0.261, 0.234)
O (0.071, 0.638, 0.613)
O (0.071, 0.862, 0.113)
O (0.129, 0.233, 0.700)
O (0.129, 0.267, 0.200)
O (0.156, 0.583, 0.280)
O (0.156, 0.917, 0.780)
O (0.255, 0.646, 0.924)
O (0.255, 0.854, 0.424)
O (0.351, 0.189, 0.541)
O (0.351, 0.311, 0.041)
O (0.488, 0.088, 0.306)
O (0.488, 0.412, 0.806)
O (0.494, 0.616, 0.596)
O (0.494, 0.884, 0.096)
O (0.506, 0.116, 0.904)
O (0.506, 0.384, 0.404)
O (0.512, 0.588, 0.194)
O (0.512, 0.912, 0.694)
O (0.649, 0.689, 0.959)
O (0.649, 0.811, 0.459)
O (0.745, 0.146, 0.576)
O (0.745, 0.354, 0.076)
O (0.844, 0.083, 0.220)
O (0.844, 0.417, 0.720)
O (0.871, 0.733, 0.800)
O (0.871, 0.767, 0.300)
O (0.929, 0.138, 0.887)
O (0.929, 0.362, 0.387)

The 12 most intense peaks (5 to 70 degrees two-theta), by angle:
Position (°2θ), Rel. int.
19.48, 219
21.15, 329
27.37, 740
27.76, 1000
28.13, 692
29.11, 174
32.15, 200
32.30, 630
33.82, 187
39.94, 157
48.80, 169
57.48, 154